# PaFe5H7
Simulated powder XRD pattern, Cu Kα. Input: a crystal structure in Alexandria, relaxed with PBE.
Intensities are scaled so that the largest is 100.

The 10 most intense peaks (2θ = 10–90°), by angle:
2θ (°)  I/Imax  index
20.8  62  1 1 0
21.1  75  1 1 -1
24.0  50  0 0 1
34.5  61  2 0 -2
34.7  53  0 2 1
40.3  100  3 1 -1
40.6  49  1 1 -2
41.4  83  1 3 -1
42.4  75  2 2 0
55.8  60  0 2 2

Crystal structure
Cell: 7.4143 7.2046 5.2008 Å, 90.00 134.50 90.00°
Space group Cm (No. 8)
Inequivalent atoms, fractional coordinates:
Pa (0.0000, 0.0000, 0.0000)
Fe (0.2372, 0.1960, 0.7632)
Fe (0.2550, 0.3077, 0.2789)
Fe (0.4955, 0.0000, 0.3585)
H (0.2028, 0.0000, 0.5754)
H (0.2559, 0.5000, 0.1081)
H (0.4901, 0.0000, 0.0321)
H (0.4914, 0.2304, 0.7281)
H (0.4967, 0.2418, 0.3050)



# Mg6VCu
Simulated powder XRD pattern, Cu Kα. Input: a crystal structure in Alexandria, relaxed with PBE.
Intensities are scaled so that the largest is 100.

The 10 most intense peaks (2θ = 10–90°), by angle:
2θ (°)  I/Imax  index
16.7  21  0 0 2
18.2  14  1 0 0
34.0  31  0 2 2
36.8  39  2 0 0
38.5  55  1 0 4
38.8  100  1 2 2
50.9  18  2 2 2
60.4  16  0 2 6
67.6  17  3 2 2
72.9  18  2 2 6

Crystal structure
Cell: 4.8848 6.0805 10.6406 Å, 90.00 90.00 90.00°
Space group Amm2 (No. 38)
Inequivalent atoms, fractional coordinates:
Mg (0.0000, 0.0000, 0.0000)
Mg (0.0000, 0.0000, 0.4967)
Mg (0.0000, 0.2494, 0.7373)
Mg (0.5000, 0.2480, 0.4045)
V (0.5000, 0.0000, 0.6539)
Cu (0.5000, 0.0000, 0.1575)



# DySc4Pt5
Simulated powder XRD pattern, Cu Kα. Input: a crystal structure in Alexandria, relaxed with PBE.
Intensities are scaled so that the largest is 100.

The 10 most intense peaks (2θ = 10–90°), by angle:
2θ (°)  I/Imax  index
25.9  14  0 0 5
27.1  29  1 0 0
37.9  100  1 0 5
38.8  51  1 1 0
47.2  12  1 1 5
53.3  7  0 0 10
56.0  17  2 0 0
67.8  14  1 1 10
69.6  33  2 1 5
80.9  9  2 0 10

Crystal structure
Cell: 3.2861 3.2861 17.1957 Å, 90.00 90.00 90.00°
Space group P4/mmm (No. 123)
Inequivalent atoms, fractional coordinates:
Dy (0.0000, 0.0000, 0.0000)
Sc (0.0000, 0.0000, 0.2068)
Sc (0.0000, 0.0000, 0.4025)
Pt (0.5000, 0.5000, 0.1144)
Pt (0.5000, 0.5000, 0.3059)
Pt (0.5000, 0.5000, 0.5000)